No. 1
Starting from a structure optimized by DFT (GGA-PBE), the X-ray powder pattern of Tm3Zn2Ni9Ge was computed for λ = 1.5418 Å (Cu Kα).
Kinematic intensities with the Lorentz-polarization factor, no thermal factor.

abc: 5.9656 5.9656 8.3915
angles: 90.00 90.00 120.00
Space group P-3m1 (No. 164)
Symmetry-distinct sites (fractional):
Tm1 0.0000 0.0000 0.0000 [1 per cell]
Tm2 0.3333 0.6667 0.7226 [2 per cell]
Zn1 0.3333 0.6667 0.1881 [2 per cell]
Ni1 0.0000 0.5000 0.0000 [3 per cell]
Ni2 0.1326 0.2652 0.2785 [6 per cell]
Ge1 0.0000 0.0000 0.5000 [1 per cell]

Top 10 peaks for 10 to 80 degrees two-theta, low angle first:
| 2theta | d (Å) | I_rel | hkl |
| --- | --- | --- | --- |
| 10.54 | 8.391 | 29 | 0 0 1 |
| 21.18 | 4.196 | 16 | 0 0 2 |
| 27.38 | 3.257 | 34 | 0 1 2 |
| 29.96 | 2.983 | 55 | 1 1 0 |
| 36.39 | 2.469 | 60 | 0 2 1 |
| 41.03 | 2.200 | 100 | 2 0 2 |
| 43.12 | 2.098 | 20 | 0 0 4 |
| 47.94 | 1.898 | 21 | 2 0 3 |
| 51.63 | 1.770 | 37 | 1 2 2 |
| 62.25 | 1.491 | 25 | 2 2 0 |

---

No. 2
Starting from a structure optimized by DFT (GGA-PBE), the X-ray powder pattern of UNi5Ge3 was computed for λ = 1.5418 Å (Cu Kα).
Kinematic intensities with the Lorentz-polarization factor, no thermal factor.

abc: 19.1630 3.8947 6.7857
angles: 90.00 90.00 90.00
Space group Pnma (No. 62)
Symmetry-distinct sites (fractional):
U1 0.1451 0.2500 0.1209 [4 per cell]
Ni1 0.0039 0.7500 0.1340 [4 per cell]
Ni2 0.0146 0.2500 0.3834 [4 per cell]
Ni3 0.1105 0.2500 0.6449 [4 per cell]
Ni4 0.1999 0.7500 0.8123 [4 per cell]
Ni5 0.2101 0.7500 0.4205 [4 per cell]
Ge1 0.0750 0.7500 0.8525 [4 per cell]
Ge2 0.0874 0.7500 0.4080 [4 per cell]
Ge3 0.2335 0.2500 0.6137 [4 per cell]

Top 10 peaks for 10 to 80 degrees two-theta, low angle first:
| 2theta | d (Å) | I_rel | hkl |
| --- | --- | --- | --- |
| 35.38 | 2.537 | 95 | 5 0 2 |
| 36.38 | 2.470 | 23 | 6 1 0 |
| 37.88 | 2.375 | 100 | 3 1 2 |
| 42.47 | 2.129 | 18 | 5 1 2 |
| 44.40 | 2.040 | 17 | 8 1 0 |
| 46.64 | 1.947 | 41 | 0 2 0 |
| 50.61 | 1.803 | 21 | 9 0 2 |
| 54.06 | 1.696 | 16 | 0 0 4 |
| 59.85 | 1.545 | 18 | 5 2 2 |
| 74.13 | 1.279 | 16 | 0 2 4 |